(1)
This entry pairs a crystal structure of Tb6Pr3Y2Pu with its theoretical X-ray powder pattern. Radiation: Cu Kα. Structure: a structure optimized by DFT (GGA-PBE).

The 10 most intense peaks (10 to 80 degrees two-theta), most intense first:
| index | d [Å] | two_theta | Rel. int. |
| --- | --- | --- | --- |
| 1 3 1 | 2.931 | 30.5 | 100 |
| 2 0 2 | 2.535 | 35.4 | 67 |
| 0 0 4 | 2.914 | 30.7 | 32 |
| 0 6 0 | 1.796 | 50.8 | 24 |
| 4 0 0 | 1.530 | 60.5 | 23 |
| 1 3 5 | 1.789 | 51.1 | 23 |
| 2 0 6 | 1.524 | 60.8 | 14 |
| 2 6 2 | 1.466 | 63.5 | 12 |
| 2 6 -2 | 1.532 | 60.4 | 10 |
| 3 3 3 | 1.529 | 60.6 | 9 |

Structural model:
abc: 6.2214 10.7818 11.8421
angles: 90.00 100.13 90.00
Space group C2/m (No. 12)
Inequivalent atoms, fractional coordinates:
Tb 0.2456 0.1642 0.2444 [8 per cell]
Tb 0.2473 0.0000 0.7554 [4 per cell]
Pr 0.0000 0.1670 0.5000 [4 per cell]
Pr 0.0000 0.5000 0.5000 [2 per cell]
Y 0.0000 0.3334 0.0000 [4 per cell]
Pu 0.0000 0.0000 0.0000 [2 per cell]

(2)
This entry pairs a crystal structure of PrPu5Te6 with its theoretical X-ray powder pattern. Radiation: Cu Kα. Structure: a structure optimized by DFT (GGA-PBE).

The 10 most intense peaks (10 to 80 degrees two-theta), most intense first:
| index | d [Å] | two_theta | Rel. int. |
| --- | --- | --- | --- |
| 1 3 1 | 3.149 | 28.3 | 100 |
| 2 0 2 | 2.227 | 40.5 | 77 |
| 3 3 -5 | 1.408 | 66.4 | 36 |
| 0 0 4 | 1.818 | 50.2 | 28 |
| 2 0 -6 | 1.286 | 73.7 | 27 |
| 2 0 0 | 3.636 | 24.5 | 14 |
| 4 0 -4 | 1.574 | 58.6 | 13 |
| 3 3 1 | 1.899 | 47.9 | 8 |
| 4 0 2 | 1.445 | 64.5 | 4 |
| 6 0 0 | 1.212 | 79.0 | 3 |

Structural model:
abc: 7.7116 13.3566 7.7153
angles: 90.00 109.46 90.00
Space group C2/m (No. 12)
Inequivalent atoms, fractional coordinates:
Pr 0.0000 0.0000 0.0000 [2 per cell]
Pu 0.0000 0.1640 0.5000 [4 per cell]
Pu 0.0000 0.3327 0.0000 [4 per cell]
Pu 0.0000 0.5000 0.5000 [2 per cell]
Te 0.2448 0.5000 0.2513 [4 per cell]
Te 0.2460 0.3308 0.7463 [8 per cell]

(3)
This entry pairs a crystal structure of Pr4PuTe5 with its theoretical X-ray powder pattern. Radiation: Cu Kα. Structure: a structure optimized by DFT (GGA-PBE).

The 10 most intense peaks (10 to 80 degrees two-theta), most intense first:
| index | d [Å] | two_theta | Rel. int. |
| --- | --- | --- | --- |
| 1 1 0 | 3.192 | 27.9 | 100 |
| 2 0 0 | 2.257 | 39.9 | 77 |
| 2 0 10 | 1.843 | 49.4 | 28 |
| 3 1 10 | 1.303 | 72.5 | 26 |
| 2 2 10 | 1.428 | 65.3 | 23 |
| 3 1 0 | 1.427 | 65.4 | 12 |
| 2 2 0 | 1.595 | 57.8 | 9 |
| 0 0 20 | 1.599 | 57.7 | 4 |
| 1 0 5 | 3.686 | 24.1 | 3 |
| 2 1 5 | 1.925 | 47.2 | 2 |

Structural model:
abc: 4.5116 4.5116 31.9704
angles: 90.00 90.00 90.00
Space group I4/mmm (No. 139)
Inequivalent atoms, fractional coordinates:
Pr 0.0000 0.0000 0.1012 [4 per cell]
Pr 0.0000 0.0000 0.3031 [4 per cell]
Pu 0.0000 0.0000 0.5000 [2 per cell]
Te 0.0000 0.0000 0.0000 [2 per cell]
Te 0.0000 0.0000 0.2016 [4 per cell]
Te 0.0000 0.0000 0.4025 [4 per cell]

(4)
This entry pairs a crystal structure of Pr3Pu5Te8 with its theoretical X-ray powder pattern. Radiation: Cu Kα. Structure: a structure optimized by DFT (GGA-PBE).

The 10 most intense peaks (10 to 80 degrees two-theta), most intense first:
| index | d [Å] | two_theta | Rel. int. |
| --- | --- | --- | --- |
| 0 2 4 | 3.162 | 28.2 | 100 |
| 2 2 0 | 2.236 | 40.3 | 77 |
| 4 0 4 | 1.824 | 50.0 | 21 |
| 6 0 0 | 1.290 | 73.4 | 20 |
| 2 4 4 | 1.413 | 66.1 | 18 |
| 2 2 12 | 1.415 | 66.0 | 18 |
| 0 4 8 | 1.581 | 58.4 | 13 |
| 0 0 6 | 3.651 | 24.4 | 10 |
| 0 0 12 | 1.829 | 49.9 | 7 |
| 0 2 16 | 1.293 | 73.2 | 7 |

Structural model:
abc: 8.9347 8.9347 21.9456
angles: 90.00 90.00 120.00
Space group R-3m (No. 166, hexagonal axes)
Inequivalent atoms, fractional coordinates:
Pr 0.0000 0.5000 0.0000 [9 per cell]
Pu 0.0000 0.0000 0.0000 [3 per cell]
Pu 0.0000 0.0000 0.5000 [3 per cell]
Pu 0.0000 0.5000 0.5000 [9 per cell]
Te 0.0000 0.0000 0.2469 [6 per cell]
Te 0.0033 0.5016 0.7516 [18 per cell]